Simulated XRD peak list of KRuPt2 for Cu Kα X-rays, from a DFT-relaxed cell (GGA-PBE, Alexandria).
Neutral-atom scattering factors, no anomalous dispersion.

Principal peaks in the range 2θ from 10° to 80°, sorted by position:
| d (Å) | two_theta | intensity |
| --- | --- | --- |
| 5.709 | 15.5 | 100.0 |
| 5.049 | 17.6 | 29.1 |
| 2.855 | 31.3 | 60.2 |
| 2.839 | 31.5 | 16.8 |
| 2.305 | 39.1 | 37.0 |
| 2.262 | 39.9 | 18.3 |
| 2.196 | 41.1 | 27.7 |
| 2.177 | 41.5 | 30.7 |
| 1.946 | 46.7 | 20.9 |
| 1.907 | 47.7 | 16.7 |

Structural model:
Unit cell a=4.6662 b=6.2399 c=6.6638 alpha=67.00 beta=69.97 gamma=76.79
Space group P1 (No. 1)
Symmetry-distinct sites (fractional):
K  0.0000  0.0000  0.0000 x1
K  0.3700  0.9192  0.3398 x1
Ru  0.3999  0.5248  0.8490 x1
Ru  0.6097  0.3308  0.5488 x1
Pt  0.0004  0.5042  0.6626 x1
Pt  0.2121  0.4258  0.2867 x1
Pt  0.6605  0.9029  0.7095 x1
Pt  0.7872  0.5005  0.0908 x1